# Pr3NdCu2
Simulated X-ray powder pattern, Cu Ka. Input: a structure optimized by DFT (GGA-PBE).
No peak broadening, texture or thermal motion is included.

Cell and atoms:
```
Pr3NdCu2
1.0
5.0722 0.0000 0.0000
0.0000 9.1258 0.0000
0.0000 0.0000 7.1472
Pr Nd Cu
6 2 4
direct
0.0000 0.0775 0.0000 Pr
0.0000 0.3404 0.3657 Pr
0.0000 0.6596 0.8657 Pr
0.0000 0.9225 0.5000 Pr
0.5000 0.1612 0.6491 Pr
0.5000 0.8388 0.1491 Pr
0.5000 0.4228 0.0157 Nd
0.5000 0.5772 0.5157 Nd
0.0000 0.3477 0.7719 Cu
0.0000 0.6523 0.2719 Cu
0.5000 0.1534 0.2432 Cu
0.5000 0.8466 0.7432 Cu
```

Principal peaks in the range 2θ from 10° to 80°, sorted by position:
Position (°2θ)  Rel. int.
29.14  100
30.60  32
31.98  19
32.17  68
34.38  44
35.39  51
39.08  15
58.93  18
59.75  16
61.51  18

# PrNd2Cu2
Simulated X-ray powder pattern, Cu Ka. Input: a structure optimized by DFT (GGA-PBE).
No peak broadening, texture or thermal motion is included.

Cell and atoms:
```
PrNd2Cu2
1.0
3.6459 0.0000 0.0000
0.0000 5.2561 0.0000
-1.8256 0.0000 13.4478
Pr Nd Cu
2 4 4
direct
0.1400 0.2500 0.2811 Pr
0.8600 0.7500 0.7189 Pr
0.0466 0.7500 0.0943 Nd
0.2295 0.7500 0.4594 Nd
0.7705 0.2500 0.5406 Nd
0.9534 0.2500 0.9057 Nd
0.3612 0.2500 0.7214 Cu
0.4559 0.7500 0.9104 Cu
0.5441 0.2500 0.0896 Cu
0.6388 0.7500 0.2786 Cu
```

Principal peaks in the range 2θ from 10° to 80°, sorted by position:
Position (°2θ)  Rel. int.
26.13  19
33.31  17
34.12  29
34.26  100
48.43  12
50.04  10
57.33  12
61.17  18
61.95  10
66.88  9

# PrNd2Cu9
Simulated X-ray powder pattern, Cu Ka. Input: a structure optimized by DFT (GGA-PBE).
No peak broadening, texture or thermal motion is included.

Cell and atoms:
```
PrNd2Cu9
1.0
2.6380 1.5230 8.4091
-2.6380 1.5230 8.4091
0.0000 -3.0461 8.4091
Pr Nd Cu
1 2 9
direct
0.0000 0.0000 0.0000 Pr
0.1439 0.1439 0.1439 Nd
0.8561 0.8561 0.8561 Nd
0.0864 0.5780 0.5780 Cu
0.3313 0.3313 0.3313 Cu
0.4220 0.4220 0.9136 Cu
0.4220 0.9136 0.4220 Cu
0.5000 0.5000 0.5000 Cu
0.5780 0.0864 0.5780 Cu
0.5780 0.5780 0.0864 Cu
0.6687 0.6687 0.6687 Cu
0.9136 0.4220 0.4220 Cu
```

Principal peaks in the range 2θ from 10° to 80°, sorted by position:
Position (°2θ)  Rel. int.
31.62  40
33.98  44
34.56  24
39.61  34
40.36  100
43.03  15
43.48  14
59.34  13
65.14  23
71.53  21

# Pr2NdCu2Sn2
Simulated X-ray powder pattern, Cu Ka. Input: a structure optimized by DFT (GGA-PBE).
No peak broadening, texture or thermal motion is included.

Cell and atoms:
```
Pr2NdCu2Sn2
1.0
2.3101 1.3337 9.7987
-2.3101 1.3337 9.7987
0.0000 -2.6675 9.7987
Pr Nd Cu Sn
2 1 2 2
direct
0.1280 0.1280 0.1280 Pr
0.8720 0.8720 0.8720 Pr
0.0000 0.0000 0.0000 Nd
0.4026 0.4026 0.4026 Cu
0.5974 0.5974 0.5974 Cu
0.2662 0.2662 0.2662 Sn
0.7338 0.7338 0.7338 Sn
```

Principal peaks in the range 2θ from 10° to 80°, sorted by position:
Position (°2θ)  Rel. int.
22.42  26
30.87  98
33.10  91
38.99  100
46.33  18
50.53  25
52.05  25
62.11  46
65.61  23
66.90  25

# Nd12Cu6Pt
Simulated X-ray powder pattern, Cu Ka. Input: a structure optimized by DFT (GGA-PBE).
No peak broadening, texture or thermal motion is included.

Cell and atoms:
```
Nd12Cu6Pt
1.0
6.3774 3.6820 4.0866
-6.3774 3.6820 4.0866
0.0000 -7.3639 4.0866
Nd Cu Pt
12 6 1
direct
0.0476 0.6750 0.9106 Nd
0.0894 0.9524 0.3250 Nd
0.1886 0.4144 0.5658 Nd
0.3250 0.0894 0.9524 Nd
0.4144 0.5658 0.1886 Nd
0.4342 0.8114 0.5856 Nd
0.5658 0.1886 0.4144 Nd
0.5856 0.4342 0.8114 Nd
0.6750 0.9106 0.0476 Nd
0.8114 0.5856 0.4342 Nd
0.9106 0.0476 0.6750 Nd
0.9524 0.3250 0.0894 Nd
0.1292 0.6212 0.3107 Cu
0.3107 0.1292 0.6212 Cu
0.3788 0.6893 0.8708 Cu
0.6212 0.3107 0.1292 Cu
0.6893 0.8708 0.3788 Cu
0.8708 0.3788 0.6893 Cu
0.0000 0.0000 0.0000 Pt
```

Principal peaks in the range 2θ from 10° to 80°, sorted by position:
Position (°2θ)  Rel. int.
21.68  26
22.50  43
25.82  100
27.98  19
30.26  38
32.68  85
36.36  85
37.31  90
52.56  26
53.24  30

# NdCuPt
Simulated X-ray powder pattern, Cu Ka. Input: a structure optimized by DFT (GGA-PBE).
No peak broadening, texture or thermal motion is included.

Cell and atoms:
```
NdCuPt
1.0
4.3740 0.0000 0.0000
-2.1870 3.7880 0.0000
0.0000 0.0000 7.6085
Nd Cu Pt
2 2 2
direct
0.0000 0.0000 0.0000 Nd
0.0000 0.0000 0.5000 Nd
0.3333 0.6667 0.2500 Cu
0.6667 0.3333 0.7500 Cu
0.3333 0.6667 0.7500 Pt
0.6667 0.3333 0.2500 Pt
```

Principal peaks in the range 2θ from 10° to 80°, sorted by position:
Position (°2θ)  Rel. int.
26.28  27
33.38  100
41.28  61
42.91  8
47.82  13
54.09  25
64.98  31
70.24  23
75.26  10
79.75  8